# 1
Theoretical powder diffractogram of ThAl2Fe10 for CuKα, from a PBE-relaxed structure.
Peak positions follow from Bragg's law for the DFT cell and can differ from measured ones.

a b c (Å): 8.501 9.818 8.317
angles (deg): 90.00 90.00 90.00
Space group Cmcm (No. 63)
Symmetry-distinct sites (fractional):
1 Th 0.000 0.122 0.250 (multiplicity 4)
2 Al 0.250 0.250 0.000 (multiplicity 8)
3 Fe 0.000 0.153 0.605 (multiplicity 8)
4 Fe 0.000 0.396 0.079 (multiplicity 8)
5 Fe 0.137 0.379 0.750 (multiplicity 8)
6 Fe 0.237 0.000 0.000 (multiplicity 8)
7 Fe 0.240 0.378 0.250 (multiplicity 8)

Top 10 peaks for 2θ from 10° to 90°, by intensity:
two_theta  d_spacing  Rel. int.  index
43.10  2.099  100  2 2 3
42.53  2.125  72  4 0 0
42.78  2.114  54  0 4 2
37.25  2.414  50  0 2 3
39.56  2.278  43  3 1 2
29.81  2.997  38  2 2 1
36.61  2.454  31  0 4 0
43.63  2.074  22  3 3 1
34.67  2.587  21  3 1 1
25.51  3.491  21  1 1 2

# 2
Theoretical powder diffractogram of U5Ti for CuKα, from a PBE-relaxed structure.
Peak positions follow from Bragg's law for the DFT cell and can differ from measured ones.

a b c (Å): 5.129 15.632 2.955
angles (deg): 90.00 90.00 90.00
Space group Cmmm (No. 65)
Symmetry-distinct sites (fractional):
1 U 0.000 0.000 0.000 (multiplicity 2)
2 U 0.000 0.158 0.500 (multiplicity 4)
3 U 0.000 0.327 0.000 (multiplicity 4)
4 Ti 0.000 0.500 0.500 (multiplicity 2)

Top 10 peaks for 2θ from 10° to 90°, by intensity:
two_theta  d_spacing  Rel. int.  index
39.20  2.298  100  1 3 1
34.99  2.565  34  2 0 0
34.42  2.605  34  0 6 0
49.90  1.828  24  2 6 0
65.58  1.424  23  3 3 1
64.87  1.437  21  1 9 1
84.28  1.149  12  2 6 2
86.38  1.126  11  3 9 1
18.20  4.873  11  1 1 0
11.32  7.816  9  0 2 0

# 3
Theoretical powder diffractogram of Ti7Tl2In2 for CuKα, from a PBE-relaxed structure.
Peak positions follow from Bragg's law for the DFT cell and can differ from measured ones.

a b c (Å): 4.815 9.457 9.479
angles (deg): 90.00 90.00 90.00
Space group Immm (No. 71)
Symmetry-distinct sites (fractional):
1 Ti 0.000 0.000 0.000 (multiplicity 2)
2 Ti 0.000 0.193 0.195 (multiplicity 8)
3 Ti 0.249 0.500 0.000 (multiplicity 4)
4 Tl 0.000 0.275 0.500 (multiplicity 4)
5 In 0.000 0.500 0.275 (multiplicity 4)

Top 10 peaks for 2θ from 10° to 90°, by intensity:
two_theta  d_spacing  Rel. int.  index
39.07  2.305  100  1 2 3
28.07  3.179  44  1 2 1
20.69  4.292  44  1 0 1
38.01  2.367  39  0 0 4
46.46  1.954  23  2 2 2
37.35  2.407  22  2 0 0
26.63  3.347  21  0 2 2
33.94  2.641  19  1 0 3
68.52  1.369  18  3 2 3
54.35  1.688  16  2 0 4

Please write out number 2 again, unchanged.
Theoretical powder diffractogram of U5Ti for CuKα, from a PBE-relaxed structure.
Peak positions follow from Bragg's law for the DFT cell and can differ from measured ones.

a b c (Å): 5.129 15.632 2.955
angles (deg): 90.00 90.00 90.00
Space group Cmmm (No. 65)
Symmetry-distinct sites (fractional):
1 U 0.000 0.000 0.000 (multiplicity 2)
2 U 0.000 0.158 0.500 (multiplicity 4)
3 U 0.000 0.327 0.000 (multiplicity 4)
4 Ti 0.000 0.500 0.500 (multiplicity 2)

Top 10 peaks for 2θ from 10° to 90°, by intensity:
two_theta  d_spacing  Rel. int.  index
39.20  2.298  100  1 3 1
34.99  2.565  34  2 0 0
34.42  2.605  34  0 6 0
49.90  1.828  24  2 6 0
65.58  1.424  23  3 3 1
64.87  1.437  21  1 9 1
84.28  1.149  12  2 6 2
86.38  1.126  11  3 9 1
18.20  4.873  11  1 1 0
11.32  7.816  9  0 2 0